Entry 1:
Diffraction record for Ce4HgAu. The XRD peak list is simulated, not measured: it uses a DFT-relaxed cell (GGA-PBE, Alexandria) and Cu Kα.

Crystal structure
```
data_Ce4HgAu
_symmetry_space_group_name_H-M 'C 1 2/c 1'
_symmetry_Int_Tables_number 15
_cell_length_a 8.967
_cell_length_b 12.812
_cell_length_c 5.781
_cell_angle_alpha 90.00
_cell_angle_beta 112.46
_cell_angle_gamma 90.00
loop_
_symmetry_equiv_pos_as_xyz
'x,y,z'
'-x,-y,-z'
'-x,y,-z+1/2'
'x,-y,z+1/2'
'x+1/2,y+1/2,z'
'-x+1/2,-y+1/2,-z'
'-x+1/2,y+1/2,-z+1/2'
'x+1/2,-y+1/2,z+1/2'
loop_
_atom_site_label
_atom_site_type_symbol
_atom_site_fract_x
_atom_site_fract_y
_atom_site_fract_z
Ce1 Ce 0.121 0.197 0.160
Ce2 Ce 0.208 0.394 0.370
Hg1 Hg 0.000 0.386 0.750
Au1 Au 0.000 0.030 0.750
```

Peak list (10 most intense, 10 to 90 degrees two-theta, by intensity)
(hkl)  2theta  Rel. int.
3 1 -1  31.03  100
1 3 1  31.20  81
1 5 0  36.71  59
2 2 1  35.00  50
0 4 1  32.59  40
2 2 -2  35.19  38
1 3 -2  37.63  37
0 0 2  33.55  33
4 6 -1  59.83  33
2 6 -1  47.97  28

=====

Entry 2:
Diffraction record for Ce6HgAu3. The XRD peak list is simulated, not measured: it uses a DFT-relaxed cell (GGA-PBE, Alexandria) and Cu Kα.

Crystal structure
```
data_Ce6HgAu3
_symmetry_space_group_name_H-M 'P 1 21/c 1'
_symmetry_Int_Tables_number 14
_cell_length_a 5.698
_cell_length_b 8.838
_cell_length_c 11.638
_cell_angle_alpha 90.00
_cell_angle_beta 119.15
_cell_angle_gamma 90.00
loop_
_symmetry_equiv_pos_as_xyz
'x,y,z'
'-x,-y,-z'
'-x,y+1/2,-z+1/2'
'x,-y+1/2,z+1/2'
loop_
_atom_site_label
_atom_site_type_symbol
_atom_site_fract_x
_atom_site_fract_y
_atom_site_fract_z
Ce1 Ce 0.040 0.152 0.061
Ce2 Ce 0.414 0.146 0.445
Ce3 Ce 0.420 0.660 0.244
Hg1 Hg 0.500 0.000 0.000
Au1 Au 0.000 0.000 0.500
Au2 Au 0.015 0.614 0.750
```

Peak list (10 most intense, 10 to 90 degrees two-theta, by intensity)
(hkl)  2theta  Rel. int.
2 0 -4  36.15  100
1 2 -3  31.08  76
1 3 1  38.66  53
1 3 -1  34.26  48
1 2 -1  25.51  41
1 1 2  32.36  40
0 0 4  35.32  38
1 3 -3  38.72  35
0 2 3  33.32  26
3 3 -3  57.76  21

=====

Entry 3:
Diffraction record for CeHg3Au. The XRD peak list is simulated, not measured: it uses a DFT-relaxed cell (GGA-PBE, Alexandria) and Cu Kα.

Crystal structure
```
data_CeHg3Au
_symmetry_space_group_name_H-M 'P n m a'
_symmetry_Int_Tables_number 62
_cell_length_a 10.060
_cell_length_b 5.104
_cell_length_c 9.603
_cell_angle_alpha 90.00
_cell_angle_beta 90.00
_cell_angle_gamma 90.00
loop_
_symmetry_equiv_pos_as_xyz
'x,y,z'
'-x,-y,-z'
'-x+1/2,-y,z+1/2'
'x+1/2,y,-z+1/2'
'x+1/2,-y+1/2,-z+1/2'
'-x+1/2,y+1/2,z+1/2'
'-x,y+1/2,-z'
'x,-y+1/2,z'
loop_
_atom_site_label
_atom_site_type_symbol
_atom_site_fract_x
_atom_site_fract_y
_atom_site_fract_z
Ce1 Ce 0.249 0.250 0.006
Hg1 Hg 0.069 0.750 0.140
Hg2 Hg 0.070 0.250 0.389
Hg3 Hg 0.128 0.750 0.836
Au1 Au 0.151 0.250 0.680
```

Peak list (10 most intense, 10 to 90 degrees two-theta, by intensity)
(hkl)  2theta  Rel. int.
1 1 3  34.25  100
3 1 1  33.30  88
0 2 0  35.17  66
3 1 2  37.14  38
4 0 1  36.95  22
6 0 1  55.65  19
7 1 2  70.89  19
1 3 3  62.51  18
3 1 3  42.89  18
4 2 1  51.93  16

=====

Entry 4:
Diffraction record for Ce2Hg2Au15. The XRD peak list is simulated, not measured: it uses a DFT-relaxed cell (GGA-PBE, Alexandria) and Cu Kα.

Crystal structure
```
data_Ce2Hg2Au15
_symmetry_space_group_name_H-M 'R -3 m'
_symmetry_Int_Tables_number 166
_symmetry_space_group_name_Hall '-R 3 2"'
_cell_length_a 9.7271
_cell_length_b 9.7271
_cell_length_c 14.4703
_cell_angle_alpha 90.00
_cell_angle_beta 90.00
_cell_angle_gamma 120.00
loop_
_atom_site_label
_atom_site_type_symbol
_atom_site_fract_x
_atom_site_fract_y
_atom_site_fract_z
Ce1 Ce 0.0000 0.0000 0.1514
Hg1 Hg 0.0000 0.0000 0.3955
Au1 Au 0.0000 0.3104 0.5000
Au2 Au 0.0000 0.5000 0.0000
Au3 Au 0.0132 0.5066 0.6500
```

Peak list (10 most intense, 10 to 90 degrees two-theta, by intensity)
(hkl)  2theta  Rel. int.
2 2 0  37.02  100
2 2 3  41.59  66
0 0 6  37.28  24
0 3 9  67.08  22
3 0 0  31.87  21
2 0 5  37.69  20
6 0 0  66.61  20
1 1 6  41.81  19
0 2 4  32.63  17
1 1 0  18.24  13

=====

Entry 5:
Diffraction record for Ce7HgAu4. The XRD peak list is simulated, not measured: it uses a DFT-relaxed cell (GGA-PBE, Alexandria) and Cu Kα.

Crystal structure
```
data_Ce7HgAu4
_symmetry_space_group_name_H-M 'C 1 2/m 1'
_symmetry_Int_Tables_number 12
_cell_length_a 14.482
_cell_length_b 5.760
_cell_length_c 9.016
_cell_angle_alpha 90.00
_cell_angle_beta 123.69
_cell_angle_gamma 90.00
loop_
_symmetry_equiv_pos_as_xyz
'x,y,z'
'-x,-y,-z'
'-x,y,-z'
'x,-y,z'
'x+1/2,y+1/2,z'
'-x+1/2,-y+1/2,-z'
'-x+1/2,y+1/2,-z'
'x+1/2,-y+1/2,z'
loop_
_atom_site_label
_atom_site_type_symbol
_atom_site_fract_x
_atom_site_fract_y
_atom_site_fract_z
Ce1 Ce 0.000 0.000 0.000
Ce2 Ce 0.051 0.500 0.404
Ce3 Ce 0.209 0.500 0.925
Ce4 Ce 0.234 0.000 0.712
Hg1 Hg 0.000 0.500 0.000
Au1 Au 0.030 0.000 0.696
Au2 Au 0.203 0.000 0.356
```

Peak list (10 most intense, 10 to 90 degrees two-theta, by intensity)
(hkl)  2theta  Rel. int.
0 2 0  31.05  100
0 0 3  35.92  60
5 1 -1  35.77  59
4 0 0  29.66  47
4 0 -3  31.35  45
4 2 -3  44.71  34
4 2 0  43.47  33
0 2 3  48.19  29
3 1 -3  33.73  22
1 1 -2  25.73  22

=====

Entry 6:
Diffraction record for Ce4Hg5Au2. The XRD peak list is simulated, not measured: it uses a DFT-relaxed cell (GGA-PBE, Alexandria) and Cu Kα.

Crystal structure
```
data_Ce4Hg5Au2
_symmetry_space_group_name_H-M 'P 1 2/m 1'
_symmetry_Int_Tables_number 10
_cell_length_a 7.978
_cell_length_b 3.567
_cell_length_c 10.175
_cell_angle_alpha 90.00
_cell_angle_beta 95.79
_cell_angle_gamma 90.00
loop_
_symmetry_equiv_pos_as_xyz
'x,y,z'
'-x,-y,-z'
'-x,y,-z'
'x,-y,z'
loop_
_atom_site_label
_atom_site_type_symbol
_atom_site_fract_x
_atom_site_fract_y
_atom_site_fract_z
Ce1 Ce 0.176 0.000 0.373
Ce2 Ce 0.253 0.000 0.943
Hg1 Hg 0.177 0.500 0.652
Hg2 Hg 0.452 0.500 0.192
Hg3 Hg 0.500 0.500 0.500
Au1 Au 0.067 0.500 0.137
```

Peak list (10 most intense, 10 to 90 degrees two-theta, by intensity)
(hkl)  2theta  Rel. int.
2 0 3  36.67  100
2 1 0  33.82  80
1 1 -2  32.08  62
1 1 2  33.35  61
1 0 -4  36.15  52
3 0 -1  34.15  48
0 1 0  24.96  42
2 1 1  35.53  41
0 2 0  51.23  33
2 1 -2  37.19  31